Starting from DFT lattice parameters and positions (GGA-PBE), the powder XRD pattern of Cs2HgBr4 was computed for Cu Ka.
No peak broadening, texture or thermal motion is included.

The 12 most intense peaks (10° ≤ 2θ ≤ 90°), in order of falling intensity:
| Position (°2θ) | d [Å] | I/Imax |
| --- | --- | --- |
| 28.33 | 3.150 | 100 |
| 21.41 | 4.150 | 49 |
| 21.71 | 4.093 | 46 |
| 15.02 | 5.897 | 36 |
| 24.66 | 3.610 | 32 |
| 25.04 | 3.556 | 27 |
| 30.33 | 2.947 | 21 |
| 14.88 | 5.953 | 20 |
| 42.43 | 2.131 | 20 |
| 44.26 | 2.047 | 20 |
| 31.57 | 2.834 | 20 |
| 33.41 | 2.682 | 20 |

Structure:
```
Cs2HgBr4
1.0
10.519 0.000 0.000
0.000 8.187 0.000
0.000 0.000 14.441
Cs Hg Br
8 4 16
direct
0.017 0.250 0.171
0.121 0.750 0.400
0.379 0.250 0.900
0.483 0.750 0.671
0.517 0.250 0.329
0.621 0.750 0.100
0.879 0.250 0.600
0.983 0.750 0.829
0.222 0.750 0.077
0.278 0.250 0.577
0.722 0.750 0.423
0.778 0.250 0.923
0.028 0.250 0.911
0.178 0.250 0.405
0.178 0.514 0.658
0.178 0.986 0.658
0.322 0.014 0.158
0.322 0.486 0.158
0.322 0.750 0.905
0.472 0.750 0.411
0.528 0.250 0.589
0.678 0.250 0.095
0.678 0.514 0.842
0.678 0.986 0.842
0.822 0.014 0.342
0.822 0.486 0.342
0.822 0.750 0.595
0.972 0.750 0.089
```



Starting from DFT lattice parameters and positions (GGA-PBE), the powder XRD pattern of Cs2HgSbBr6 was computed for Cu Ka.
No peak broadening, texture or thermal motion is included.

The 12 most intense peaks (10° ≤ 2θ ≤ 90°), in order of falling intensity:
| Position (°2θ) | d [Å] | I/Imax |
| --- | --- | --- |
| 30.69 | 2.913 | 100 |
| 43.95 | 2.060 | 73 |
| 21.57 | 4.120 | 73 |
| 37.82 | 2.379 | 34 |
| 72.56 | 1.303 | 32 |
| 26.50 | 3.364 | 32 |
| 54.56 | 1.682 | 25 |
| 80.81 | 1.189 | 24 |
| 15.21 | 5.827 | 24 |
| 59.35 | 1.557 | 19 |
| 49.47 | 1.843 | 17 |
| 52.06 | 1.757 | 13 |

Structure:
```
Cs2HgSbBr6
1.0
0.000 5.827 5.827
5.827 0.000 5.827
5.827 5.827 0.000
Cs Hg Sb Br
2 1 1 6
direct
0.250 0.250 0.250
0.750 0.750 0.750
0.000 0.000 0.000
0.500 0.500 0.500
0.259 0.259 0.741
0.259 0.741 0.259
0.259 0.741 0.741
0.741 0.259 0.259
0.741 0.259 0.741
0.741 0.741 0.259
```



Starting from DFT lattice parameters and positions (GGA-PBE), the powder XRD pattern of Cs2ScHgBr6 was computed for Cu Ka.
No peak broadening, texture or thermal motion is included.

The 12 most intense peaks (10° ≤ 2θ ≤ 90°), in order of falling intensity:
| Position (°2θ) | d [Å] | I/Imax |
| --- | --- | --- |
| 31.14 | 2.872 | 100 |
| 44.62 | 2.031 | 71 |
| 21.88 | 4.062 | 60 |
| 26.88 | 3.316 | 50 |
| 73.77 | 1.284 | 29 |
| 38.39 | 2.345 | 26 |
| 55.41 | 1.658 | 24 |
| 82.22 | 1.172 | 21 |
| 25.72 | 3.464 | 19 |
| 34.02 | 2.636 | 19 |
| 52.86 | 1.732 | 19 |
| 60.29 | 1.535 | 17 |

Structure:
```
Cs2ScHgBr6
1.0
0.000 5.744 5.744
5.744 0.000 5.744
5.744 5.744 0.000
Cs Sc Hg Br
2 1 1 6
direct
0.250 0.250 0.250
0.750 0.750 0.750
0.000 0.000 0.000
0.500 0.500 0.500
0.233 0.233 0.767
0.233 0.767 0.233
0.233 0.767 0.767
0.767 0.233 0.233
0.767 0.233 0.767
0.767 0.767 0.233
```